# Li3V4O7F5
Computed X-ray powder pattern, Cu Kα (λ = 1.5418 Å). Input: the GGA+U geometry in Alexandria.
Peak positions follow from Bragg's law for the DFT cell and can differ from measured ones.

The 10 most intense peaks (10° ≤ 2θ ≤ 90°), most intense first:
two_theta  d/Å  intensity
23.87  3.728  100
24.35  3.655  49
40.34  2.236  22
53.96  1.699  14
33.37  2.685  13
33.48  2.677  11
33.10  2.706  11
48.77  1.867  10
48.94  1.861  9
62.59  1.484  9

Cell and atoms:
a b c (Å): 5.0742 5.3711 8.9041
angles (deg): 73.31 89.50 62.54
Space group P1 (No. 1)
Unique sites:
Li (0.0000, 0.0000, 0.0000) [1 per cell]
Li (0.1211, 0.7470, 0.7093) [1 per cell]
Li (0.7656, 0.4660, 0.2527) [1 per cell]
V (0.0267, 0.8512, 0.3669) [1 per cell]
V (0.3580, 0.3299, 0.0919) [1 per cell]
V (0.5530, 0.8797, 0.8533) [1 per cell]
V (0.7583, 0.3761, 0.5910) [1 per cell]
O (0.3122, 0.1352, 0.9753) [1 per cell]
O (0.3751, 0.6161, 0.5429) [1 per cell]
O (0.3937, 0.6304, 0.9217) [1 per cell]
O (0.7576, 0.1347, 0.1686) [1 per cell]
O (0.7619, 0.0792, 0.7847) [1 per cell]
O (0.8358, 0.1149, 0.4765) [1 per cell]
O (0.8813, 0.6069, 0.4150) [1 per cell]
F (0.2378, 0.1106, 0.6721) [1 per cell]
F (0.2452, 0.1176, 0.2805) [1 per cell]
F (0.3078, 0.6279, 0.2197) [1 per cell]
F (0.8212, 0.5991, 0.7305) [1 per cell]
F (0.8864, 0.6344, 0.0474) [1 per cell]